1.
Structure and calculated powder XRD pattern of Ti3VCu2P6O24 (a crystal structure in Alexandria, relaxed with GGA+U; Cu Kα X-rays).
Kinematic intensities with the Lorentz-polarization factor, no thermal factor.

Atomic structure:
a = 8.621 Å, b = 8.621 Å, c = 8.621 Å
α = 60.08°, β = 60.08°, γ = 60.08°
Fractional coordinates of all 36 atoms:
Ti  0.000  0.000  0.000
Ti  0.216  0.216  0.216
Ti  0.500  0.500  0.500
V  0.717  0.717  0.717
Cu  0.358  0.358  0.358
Cu  0.860  0.860  0.860
P  0.107  0.818  0.399
P  0.320  0.609  0.898
P  0.399  0.107  0.818
P  0.609  0.898  0.320
P  0.818  0.399  0.107
P  0.898  0.320  0.609
O  0.050  0.860  0.235
O  0.090  0.298  0.443
O  0.128  0.775  0.913
O  0.167  0.981  0.355
O  0.235  0.050  0.860
O  0.273  0.627  0.416
O  0.298  0.443  0.090
O  0.355  0.167  0.981
O  0.362  0.551  0.734
O  0.416  0.273  0.627
O  0.443  0.090  0.298
O  0.480  0.664  0.864
O  0.551  0.734  0.362
O  0.591  0.942  0.804
O  0.627  0.416  0.273
O  0.664  0.864  0.480
O  0.734  0.362  0.551
O  0.775  0.913  0.128
O  0.804  0.591  0.942
O  0.860  0.235  0.050
O  0.864  0.480  0.664
O  0.913  0.128  0.775
O  0.942  0.804  0.591
O  0.981  0.355  0.167

Most intense lines, 2θ = 10–90°, in order of rising 2θ:
Position (°2θ)	I (rel.)
20.6	83
24.2	100
25.3	23
32.0	16
32.8	80
36.1	35
47.1	33
49.6	26
56.4	39
62.8	17

***

2.
Structure and calculated powder XRD pattern of Ti3V2CuP6O24 (a crystal structure in Alexandria, relaxed with GGA+U; Cu Kα X-rays).
Kinematic intensities with the Lorentz-polarization factor, no thermal factor.

Atomic structure:
a = 8.560 Å, b = 8.560 Å, c = 8.560 Å
α = 60.77°, β = 60.77°, γ = 60.77°
Fractional coordinates of all 36 atoms:
Ti  0.000  0.000  0.000
Ti  0.211  0.211  0.211
Ti  0.503  0.503  0.503
V  0.355  0.355  0.355
V  0.854  0.854  0.854
Cu  0.711  0.711  0.711
P  0.109  0.812  0.399
P  0.314  0.610  0.903
P  0.399  0.109  0.812
P  0.610  0.903  0.314
P  0.812  0.399  0.109
P  0.903  0.314  0.610
O  0.045  0.856  0.236
O  0.099  0.281  0.448
O  0.116  0.771  0.910
O  0.192  0.967  0.336
O  0.236  0.045  0.856
O  0.269  0.616  0.415
O  0.281  0.448  0.099
O  0.336  0.192  0.967
O  0.363  0.545  0.737
O  0.415  0.269  0.616
O  0.448  0.099  0.281
O  0.464  0.668  0.879
O  0.545  0.737  0.363
O  0.589  0.952  0.814
O  0.616  0.415  0.269
O  0.668  0.879  0.464
O  0.737  0.363  0.545
O  0.771  0.910  0.116
O  0.814  0.589  0.952
O  0.856  0.236  0.045
O  0.879  0.464  0.668
O  0.910  0.116  0.771
O  0.952  0.814  0.589
O  0.967  0.336  0.192

Most intense lines, 2θ = 10–90°, in order of rising 2θ:
Position (°2θ)	I (rel.)
20.5	67
24.2	100
25.2	13
31.9	15
33.1	64
35.9	31
47.4	25
49.6	24
56.2	19
62.8	16